For Li2Mo4O13, a GGA+U-relaxed structure gives the theoretical powder diffraction line list in this record (copper Kα).
No peak broadening, texture or thermal motion is included.

Most intense lines, 2θ from 10° to 90°, low angle first:
| 2theta | I/Imax |
| --- | --- |
| 12.13 | 64.2 |
| 13.98 | 17.8 |
| 14.14 | 25.5 |
| 16.17 | 18.6 |
| 20.43 | 27.5 |
| 24.06 | 24.4 |
| 24.36 | 100.0 |
| 24.58 | 57.4 |
| 28.29 | 32.4 |
| 41.15 | 19.4 |
| 42.70 | 21.6 |
| 47.53 | 24.5 |

Cell and atoms:
```
data_Li2Mo4O13
_chemical_formula_sum 'Li6 Mo12 O39'
_space_group_name_H-M_alt 'P -1'
_space_group_IT_number 2
_space_group_name_Hall '-P 1'
_cell_length_a 8.400
_cell_length_b 8.735
_cell_length_c 11.732
_cell_angle_alpha 95.88
_cell_angle_beta 109.14
_cell_angle_gamma 95.83
loop_
_atom_site_label
_atom_site_type_symbol
_atom_site_fract_x
_atom_site_fract_y
_atom_site_fract_z
_atom_site_occupancy
Li1 Li 0.186 0.079 0.135 1
Li2 Li 0.223 0.877 0.873 1
Li3 Li 0.298 0.517 0.498 1
Mo1 Mo 0.042 0.824 0.536 1
Mo2 Mo 0.114 0.438 0.136 1
Mo3 Mo 0.143 0.231 0.867 1
Mo4 Mo 0.354 0.158 0.471 1
Mo5 Mo 0.469 0.790 0.140 1
Mo6 Mo 0.494 0.581 0.865 1
O1 O 0.020 0.078 0.899 1
O2 O 0.032 0.728 0.887 1
O3 O 0.036 0.408 0.917 1
O4 O 0.068 0.224 0.711 1
O5 O 0.122 0.856 0.694 1
O6 O 0.143 0.673 0.498 1
O7 O 0.150 0.005 0.494 1
O8 O 0.184 0.290 0.499 1
O9 O 0.197 0.484 0.292 1
O10 O 0.276 0.298 0.092 1
O11 O 0.279 0.126 0.312 1
O12 O 0.324 0.921 0.095 1
O13 O 0.332 0.108 0.887 1
O14 O 0.332 0.587 0.116 1
O15 O 0.376 0.398 0.901 1
O16 O 0.397 0.729 0.923 1
O17 O 0.411 0.568 0.710 1
O18 O 0.453 0.177 0.702 1
O19 O 0.497 0.673 0.495 1
O20 O 0.500 0.000 0.500 1
```